# Na3AsH14SO10
Calculated X-ray diffraction stick pattern, λ = 1.5418 Å (Cu Kα). Input: a GGA-PBE-relaxed structure.
No peak broadening, texture or thermal motion is included.

```
data_Na3AsH14SO10
_cell_length_a 6.775
_cell_length_b 12.742
_cell_length_c 7.106
_cell_angle_alpha 90.00
_cell_angle_beta 94.13
_cell_angle_gamma 90.00
_space_group_name_H-M_alt 'P 1 21 1'
_space_group_IT_number 4
loop_
_space_group_symop_operation_xyz
'x,y,z'
'-x,y+1/2,-z'
loop_
_atom_site_label
_atom_site_fract_x
_atom_site_fract_y
_atom_site_fract_z
Na1 0.200 0.000 0.200
Na2 0.203 0.893 0.674
Na3 0.223 0.255 0.323
As1 0.200 0.612 0.193
H1 0.007 0.295 0.688
H2 0.105 0.409 0.690
H3 0.171 0.674 0.593
H4 0.172 0.107 0.620
H5 0.189 0.687 0.816
H6 0.200 0.165 0.946
H7 0.355 0.539 0.584
H8 0.360 0.432 0.697
H9 0.363 0.808 0.019
H10 0.398 0.091 0.573
H11 0.420 0.733 0.463
H12 0.432 0.155 0.021
H13 0.473 0.850 0.412
H14 0.490 0.406 0.014
S1 0.139 0.452 0.110
O1 0.001 0.367 0.625
O2 0.021 0.176 0.767
O3 0.107 0.708 0.698
O4 0.259 0.070 0.533
O5 0.294 0.156 0.061
O6 0.321 0.681 0.027
O7 0.346 0.620 0.406
O8 0.372 0.887 0.004
O9 0.386 0.506 0.712
O10 0.476 0.802 0.519
```

Largest 12 diffraction maxima, by angle, 2θ = 15–90°:
(hkl), two_theta, I/Imax
1 0 -1, 17.5, 551
1 0 1, 18.8, 393
1 1 1, 20.0, 369
1 2 -1, 22.4, 589
0 3 1, 24.4, 499
2 0 0, 26.4, 282
1 1 -2, 28.5, 277
1 0 2, 29.3, 1000
2 2 0, 29.9, 292
1 2 -2, 31.0, 361
0 5 1, 37.5, 359
1 6 -1, 46.3, 289

=====

# CsMg14Sn
Calculated X-ray diffraction stick pattern, λ = 1.5418 Å (Cu Kα). Input: a GGA-PBE-relaxed structure.
No peak broadening, texture or thermal motion is included.

```
data_CsMg14Sn
_cell_length_a 6.5564
_cell_length_b 6.5564
_cell_length_c 10.9336
_cell_angle_alpha 90.00
_cell_angle_beta 90.00
_cell_angle_gamma 120.00
_space_group_name_H-M_alt 'P -6 m 2'
_space_group_IT_number 187
_space_group_name_Hall 'P -6 2'
loop_
_atom_site_label
_atom_site_fract_x
_atom_site_fract_y
_atom_site_fract_z
Cs1 0.0000 0.0000 0.0000
Mg1 0.0050 0.5025 0.0000
Mg2 0.1725 0.3450 0.2637
Mg3 0.5024 0.0047 0.5000
Mg4 0.6667 0.3333 0.2438
Sn1 0.0000 0.0000 0.5000
```

Largest 12 diffraction maxima, by angle, 2θ = 15–90°:
(hkl), two_theta, I/Imax
1 0 0, 15.6, 472
0 0 2, 16.2, 159
1 0 2, 22.6, 469
2 0 0, 31.5, 299
1 1 2, 31.8, 184
0 0 4, 32.8, 264
2 0 2, 35.6, 1000
2 0 4, 46.1, 205
2 2 0, 56.1, 169
2 0 6, 60.4, 201
2 2 4, 66.5, 194
4 0 2, 68.3, 143

=====

# Mn3CdTe4
Calculated X-ray diffraction stick pattern, λ = 1.5418 Å (Cu Kα). Input: a GGA-PBE-relaxed structure.
No peak broadening, texture or thermal motion is included.

```
data_Mn3CdTe4
_cell_length_a 4.5677
_cell_length_b 4.5677
_cell_length_c 44.3959
_cell_angle_alpha 90.00
_cell_angle_beta 90.00
_cell_angle_gamma 120.00
_space_group_name_H-M_alt 'R 3 m'
_space_group_IT_number 160
_space_group_name_Hall 'R 3 -2"'
loop_
_atom_site_label
_atom_site_fract_x
_atom_site_fract_y
_atom_site_fract_z
Mn1 0.0000 0.0000 0.0000
Mn2 0.0000 0.0000 0.2503
Mn3 0.0000 0.0000 0.7489
Cd1 0.0000 0.0000 0.5005
Te1 0.0000 0.0000 0.0626
Te2 0.0000 0.0000 0.3127
Te3 0.0000 0.0000 0.5647
Te4 0.0000 0.0000 0.8104
```

Largest 12 diffraction maxima, by angle, 2θ = 15–90°:
(hkl), two_theta, I/Imax
1 0 4, 23.9, 1000
0 0 12, 24.1, 326
0 1 8, 27.7, 91
1 1 0, 39.5, 490
1 0 16, 39.7, 474
0 2 4, 46.7, 480
0 1 20, 46.9, 153
0 2 16, 57.2, 157
2 1 4, 62.7, 132
3 0 0, 71.6, 80
2 1 16, 71.7, 156
1 3 4, 89.9, 98

=====

> Number 1 is which compound?

Na3AsH14SO10